Calculated powder XRD pattern of Ac3Zn2Pd4Pb2 for Cu Kα, 1.54184 Å, from a structure optimized by DFT (PBE).

Peak list (10 most intense, 2θ from 10° to 90°, in order of rising 2θ)
(hkl)	2theta	intensity
1 0 1	22.85	26
1 0 2	25.05	22
1 0 3	28.36	40
0 1 4	32.47	100
0 1 5	37.16	13
1 1 0	38.72	86
2 0 4	51.40	28
1 1 7	58.28	19
1 2 4	66.17	26
3 0 0	70.09	15

Cell and atoms:
```
Ac3Zn2Pd4Pb2
1.0
4.651 0.000 0.000
-2.325 4.028 0.000
0.000 0.000 15.131
Ac Zn Pd Pb
3 2 4 2
direct
0.000 0.000 0.000
0.000 0.000 0.263
0.000 0.000 0.737
0.333 0.667 0.137
0.667 0.333 0.863
0.333 0.667 0.372
0.333 0.667 0.874
0.667 0.333 0.126
0.667 0.333 0.628
0.333 0.667 0.565
0.667 0.333 0.435
```